# ScAlH
Simulated X-ray powder pattern, a wavelength of 1.5418 Å. Input: a GGA-PBE-relaxed structure.
Lines closer than 0.1° are merged.

Crystal structure
a b c (Å): 5.381 5.846 10.973
angles (deg): 82.41 86.81 88.98
Space group P1 (No. 1)
Inequivalent atoms, fractional coordinates:
Sc (0.000, 0.000, 0.000) [1 per cell]
Sc (0.011, 0.478, 0.092) [1 per cell]
Sc (0.084, 0.669, 0.589) [1 per cell]
Sc (0.248, 0.030, 0.262) [1 per cell]
Sc (0.282, 0.513, 0.341) [1 per cell]
Sc (0.307, 0.185, 0.745) [1 per cell]
Sc (0.325, 0.664, 0.840) [1 per cell]
Sc (0.557, 0.940, 0.508) [1 per cell]
Al (0.040, 0.173, 0.516) [1 per cell]
Al (0.503, 0.754, 0.083) [1 per cell]
Al (0.506, 0.269, 0.014) [1 per cell]
Al (0.624, 0.425, 0.536) [1 per cell]
Al (0.760, 0.260, 0.316) [1 per cell]
Al (0.772, 0.749, 0.283) [1 per cell]
Al (0.811, 0.971, 0.741) [1 per cell]
Al (0.828, 0.405, 0.823) [1 per cell]
H (0.012, 0.694, 0.941) [1 per cell]
H (0.265, 0.805, 0.427) [1 per cell]
H (0.294, 0.358, 0.192) [1 per cell]
H (0.307, 0.970, 0.896) [1 per cell]
H (0.331, 0.872, 0.668) [1 per cell]
H (0.353, 0.510, 0.688) [1 per cell]
H (0.725, 0.668, 0.597) [1 per cell]
H (0.968, 0.144, 0.157) [1 per cell]

Largest 10 diffraction maxima, low angle first, 10° ≤ 2θ ≤ 90°:
| (hkl) | 2θ/deg | I (rel.) |
| --- | --- | --- |
| 1 1 3 | 31.24 | 26 |
| 0 0 4 | 33.00 | 60 |
| 0 1 4 | 34.58 | 62 |
| 1 -2 0 | 35.35 | 28 |
| -1 2 1 | 35.59 | 78 |
| 2 0 2 | 36.52 | 88 |
| 1 2 -1 | 37.19 | 100 |
| 2 0 -2 | 38.17 | 79 |
| 0 1 -4 | 38.42 | 38 |
| 1 2 3 | 40.14 | 52 |